Diffraction record for TmIn4AgSe8. The powder XRD pattern is theoretical, not measured: it uses a DFT-relaxed cell (PBE, Alexandria) and Cu Kα.
Lines closer than 0.1° are merged.

The 8 most intense peaks (2θ from 10° to 80°), most intense first:
d (Å)	2θ (°)	intensity
2.047	44.24	100
3.492	25.51	80
2.895	30.88	62
2.229	40.47	45
4.096	21.70	22
6.689	13.24	17
1.508	61.48	15
1.448	64.35	15

Structural model:
```
TmIn4AgSe8
1.0
4.098 2.366 6.676
-4.098 2.366 6.676
0.000 -4.732 6.676
Tm In Ag Se
1 4 1 8
direct
0.000 0.000 0.000
0.473 0.998 0.998
0.617 0.617 0.617
0.998 0.473 0.998
0.998 0.998 0.473
0.366 0.366 0.366
0.217 0.751 0.751
0.235 0.235 0.235
0.240 0.240 0.759
0.240 0.759 0.240
0.751 0.217 0.751
0.751 0.751 0.217
0.753 0.753 0.753
0.759 0.240 0.240
```